Simulated powder XRD pattern of CaTl4Ni4O12 for λ = 1.5418 Å (Cu Kα), from the GGA+U geometry in the Materials Project.

Principal peaks in the range 10° ≤ 2θ ≤ 90°, by angle:
- 20.8°, I 68
- 24.2°, I 45
- 28.6°, I 36
- 30.5°, I 100
- 31.3°, I 32
- 31.5°, I 40
- 32.9°, I 50
- 33.8°, I 52
- 33.9°, I 24
- 47.9°, I 27

```
21
Lattice="5.875 0.000 0.000 0.005 6.255 0.000 0.754 0.272 7.349" Properties=species:S:1:pos:R:3 pbc="T T T"
Ca 0.000 0.000 0.000
Tl 1.330 3.020 6.263
Tl 1.103 1.574 2.886
Tl 3.121 4.830 2.823
Tl 3.654 5.716 6.338
Ni 3.558 1.874 0.777
Ni 4.037 1.892 4.392
Ni 5.871 3.993 1.734
Ni 6.181 5.128 4.335
O 0.917 5.601 2.637
O 1.429 4.311 0.253
O 2.016 1.317 5.080
O 2.137 4.558 4.736
O 1.941 1.118 0.665
O 3.160 2.428 2.589
O 4.732 1.531 6.369
O 4.567 6.169 4.137
O 4.311 5.117 1.153
O 5.683 4.749 6.038
O 5.594 3.194 3.643
O 5.360 2.222 0.950
```

***

Simulated powder XRD pattern of NbCo3O8 for λ = 1.5418 Å (Cu Kα), from the GGA+U geometry in the Materials Project.

Principal peaks in the range 10° ≤ 2θ ≤ 90°, by angle:
- 19.2°, I 36
- 20.4°, I 100
- 26.5°, I 33
- 34.4°, I 39
- 37.1°, I 40
- 37.8°, I 42
- 41.6°, I 22
- 47.2°, I 22
- 62.9°, I 23
- 65.7°, I 27

```
24
Lattice="2.843 -4.928 0.000 2.843 4.928 0.000 -0.028 0.000 9.228" Properties=species:S:1:pos:R:3 pbc="T T T"
Nb 2.829 3.284 4.614
Nb 2.843 -3.284 0.000
Co 1.389 0.832 2.615
Co 1.375 -0.832 7.229
Co 2.815 1.663 7.229
Co 2.829 -1.663 2.615
Co 4.270 0.832 2.616
Co 4.256 -0.832 7.229
O 2.814 4.751 6.184
O 1.550 2.555 6.183
O 2.817 3.285 8.182
O 1.423 0.802 8.284
O 1.437 -0.802 3.670
O 2.828 1.610 3.666
O 4.084 2.551 6.181
O 2.829 0.000 1.768
O 2.815 0.000 6.382
O 1.564 -2.555 1.569
O 4.205 0.803 8.283
O 2.814 -1.610 8.280
O 4.219 -0.803 3.669
O 2.831 -3.285 3.568
O 2.828 -4.751 1.570
O 4.098 -2.551 1.568
```

***

Simulated powder XRD pattern of Li9Mn2Co5O16 for λ = 1.5418 Å (Cu Kα), from the GGA+U geometry in the Materials Project.

Principal peaks in the range 10° ≤ 2θ ≤ 90°, by angle:
- 18.4°, I 100
- 35.5°, I 15
- 36.2°, I 13
- 36.3°, I 12
- 42.9°, I 29
- 43.9°, I 27
- 44.1°, I 26
- 47.6°, I 9
- 63.1°, I 8
- 63.4°, I 14

```
32
Lattice="5.918 0.000 0.000 2.776 7.163 0.000 2.885 2.487 6.758" Properties=species:S:1:pos:R:3 pbc="T T T"
Li 0.000 0.000 0.000
Li 2.838 4.803 3.368
Li 4.211 7.178 2.439
Li 2.875 2.423 1.672
Li 4.289 4.822 0.858
Li 2.919 0.024 0.035
Li 7.264 4.847 5.962
Li 8.679 7.234 5.087
Li 7.335 2.466 4.266
Mn 5.697 7.265 5.094
Mn 4.335 2.459 4.244
Co 4.265 4.773 5.998
Co 5.768 4.837 3.356
Co 7.224 7.225 2.446
Co 5.842 2.407 1.691
Co 7.301 4.836 0.837
O 2.992 3.604 4.999
O 1.469 1.270 0.778
O 4.380 6.050 4.329
O 5.729 6.166 6.665
O 5.768 8.414 3.506
O 4.353 3.598 2.673
O 7.104 8.423 5.750
O 5.706 3.615 4.996
O 5.793 5.959 1.709
O 7.071 6.124 4.178
O 4.467 1.241 0.976
O 5.744 1.374 3.336
O 5.902 3.519 0.112
O 7.127 3.599 2.469
O 10.233 8.313 5.874
O 8.582 5.958 1.720
```

***

Simulated powder XRD pattern of Li2VOF4 for λ = 1.5418 Å (Cu Kα), from the GGA+U geometry in the Materials Project.

Principal peaks in the range 10° ≤ 2θ ≤ 90°, by angle:
- 17.2°, I 54
- 17.3°, I 47
- 19.2°, I 60
- 24.5°, I 42
- 26.0°, I 32
- 27.5°, I 100
- 31.4°, I 38
- 43.9°, I 63
- 50.3°, I 27
- 51.0°, I 31

```
16
Lattice="1.814 -5.169 0.000 1.814 5.169 0.000 0.000 0.000 10.257" Properties=species:S:1:pos:R:3 pbc="T T T"
Li 1.814 3.883 5.777
Li 1.814 3.883 9.608
Li 1.814 -3.883 0.649
Li 1.814 -3.883 4.480
V 1.814 3.232 2.564
V 1.814 -3.232 7.693
O 1.814 2.140 7.693
O 1.814 -2.140 2.564
F 1.814 4.584 1.194
F 1.814 4.584 3.934
F 1.814 1.912 1.049
F 1.814 1.912 4.079
F 1.814 -1.912 6.178
F 1.814 -1.912 9.207
F 1.814 -4.584 6.323
F 1.814 -4.584 9.062
```

***

Simulated powder XRD pattern of FeOF for λ = 1.5418 Å (Cu Kα), from the GGA+U geometry in the Materials Project.

Principal peaks in the range 10° ≤ 2θ ≤ 90°, by angle:
- 26.6°, I 100
- 34.4°, I 57
- 39.5°, I 19
- 52.2°, I 31
- 52.3°, I 28
- 54.8°, I 16
- 59.3°, I 10
- 66.1°, I 13
- 66.2°, I 11
- 66.6°, I 9

```
54
Lattice="14.165 0.000 0.000 0.000 3.119 0.000 -0.016 0.000 14.241" Properties=species:S:1:pos:R:3 pbc="T T T"
Fe 0.000 0.000 0.000
Fe 0.003 0.000 4.745
Fe 0.073 0.000 9.411
Fe 2.736 1.559 2.392
Fe 2.734 1.559 11.887
Fe 2.787 1.559 7.042
Fe 4.702 0.000 9.480
Fe 4.724 0.000 0.023
Fe 4.799 0.000 4.671
Fe 7.174 1.559 2.631
Fe 7.430 1.559 7.113
Fe 7.422 1.559 11.882
Fe 9.413 0.000 4.733
Fe 9.417 0.000 9.494
Fe 9.512 0.000 14.154
Fe 11.895 1.559 12.132
Fe 12.139 1.559 7.107
Fe 12.159 1.559 2.380
O 3.426 0.000 10.968
O 3.468 0.000 1.496
O 3.487 0.000 6.191
O 3.945 1.559 3.878
O 3.972 1.559 13.371
O 3.981 1.559 8.588
O 6.309 0.000 3.373
O 8.182 0.000 6.236
O 8.184 0.000 11.005
O 8.619 1.559 13.428
O 8.692 1.559 8.614
O 8.727 1.559 3.826
O 11.012 0.000 12.871
O 12.887 0.000 1.473
O 12.912 0.000 6.256
O 13.409 1.559 8.639
O 13.421 1.559 3.867
O 13.450 1.559 13.308
F 1.057 1.559 10.465
F 1.105 1.559 0.976
F 1.105 1.559 5.722
F 1.600 0.000 3.364
F 1.608 0.000 8.081
F 1.604 0.000 12.839
F 5.812 1.559 10.474
F 5.833 1.559 5.786
F 5.868 1.559 0.934
F 6.305 0.000 12.830
F 6.332 0.000 8.116
F 8.155 0.000 1.510
F 10.488 1.559 1.047
F 10.551 1.559 5.730
F 10.596 1.559 10.432
F 11.051 0.000 8.094
F 11.067 0.000 3.365
F 12.897 0.000 10.980
```